# KSrTlCl6
Calculated X-ray diffraction stick pattern, λ = 1.5418 Å (Cu Kα). Input: the GGA-PBE geometry in Alexandria.
Neutral-atom scattering factors, no anomalous dispersion.

Atomic structure:
Lattice parameters (Å, degrees): 7.301 7.301 13.257 90.00 90.00 120.00
Element x y z (fractional)
K1 0.000 0.000 0.000
K2 0.000 0.000 0.500
Sr1 0.333 0.667 0.250
Sr2 0.667 0.333 0.750
Tl1 0.333 0.667 0.750
Tl2 0.667 0.333 0.250
Cl1 0.029 0.379 0.635
Cl2 0.029 0.649 0.865
Cl3 0.351 0.379 0.865
Cl4 0.351 0.971 0.635
Cl5 0.379 0.029 0.135
Cl6 0.379 0.351 0.365
Cl7 0.621 0.649 0.635
Cl8 0.621 0.971 0.865
Cl9 0.649 0.029 0.365
Cl10 0.649 0.621 0.135
Cl11 0.971 0.351 0.135
Cl12 0.971 0.621 0.365

Top 10 peaks for 15° ≤ 2θ ≤ 90°, sorted by position:
15.53 deg, d = 5.707 Å, I = 56, (1 0 1)
19.40 deg, d = 4.575 Å, I = 98, (1 0 2)
24.38 deg, d = 3.651 Å, I = 39, (1 1 0)
27.90 deg, d = 3.198 Å, I = 97, (1 1 2)
31.35 deg, d = 2.854 Å, I = 27, (2 0 2)
36.62 deg, d = 2.454 Å, I = 100, (1 1 4)
40.11 deg, d = 2.248 Å, I = 31, (2 1 2)
42.91 deg, d = 2.108 Å, I = 43, (3 0 0)
48.14 deg, d = 1.890 Å, I = 26, (2 -1 6)
57.65 deg, d = 1.599 Å, I = 24, (4 -2 4)